# Br2O3
Calculated X-ray powder pattern, Cu Kα. Input: the GGA-PBE geometry in the Materials Project.

Peak list (8 most intense, 15 to 90 degrees two-theta, low angle first)
2θ 20.94, rel. 80, (2 0 -2); 2θ 21.75, rel. 77, (1 1 -2); 2θ 22.69, rel. 42, (0 1 2); 2θ 22.96, rel. 62, (1 2 0); 2θ 23.78, rel. 57, (0 2 1); 2θ 26.12, rel. 100, (1 1 2); 2θ 26.74, rel. 50, (2 2 0); 2θ 32.13, rel. 46, (3 2 0)

Structure:
```
Br2O3
1.0
12.0009 0.0000 0.0000
0.0000 8.2424 0.0000
-3.0936 0.0000 8.9084
Br O
16 24
direct
0.0304 0.2130 0.3020 Br
0.0304 0.2870 0.8020 Br
0.2811 0.1968 0.2601 Br
0.2811 0.3032 0.7601 Br
0.2805 0.7140 0.0337 Br
0.2805 0.7860 0.5337 Br
0.4515 0.0033 0.1924 Br
0.4515 0.4967 0.6924 Br
0.5485 0.5033 0.3076 Br
0.5485 0.9967 0.8076 Br
0.7195 0.2140 0.4663 Br
0.7195 0.2860 0.9663 Br
0.7189 0.6968 0.2399 Br
0.7189 0.8032 0.7399 Br
0.9696 0.7130 0.1980 Br
0.9696 0.7870 0.6980 Br
0.0416 0.6627 0.3742 O
0.0416 0.8373 0.8742 O
0.0882 0.0456 0.3916 O
0.0882 0.4544 0.8916 O
0.1628 0.1688 0.7930 O
0.1628 0.3312 0.2930 O
0.2422 0.7298 0.1849 O
0.2422 0.7702 0.6849 O
0.3446 0.5736 0.5151 O
0.3446 0.9264 0.0151 O
0.3986 0.5953 0.0700 O
0.3986 0.9047 0.5700 O
0.6014 0.0953 0.4300 O
0.6014 0.4047 0.9300 O
0.6554 0.0736 0.9849 O
0.6554 0.4264 0.4849 O
0.7578 0.2298 0.3151 O
0.7578 0.2702 0.8151 O
0.8372 0.6688 0.7070 O
0.8372 0.8312 0.2070 O
0.9118 0.5456 0.1084 O
0.9118 0.9544 0.6084 O
0.9584 0.1627 0.1258 O
0.9584 0.3373 0.6258 O
```

# CsTmS2
Calculated X-ray powder pattern, Cu Kα. Input: the GGA-PBE geometry in the Materials Project.

Peak list (8 most intense, 15 to 90 degrees two-theta, low angle first)
2θ 22.15, rel. 39, (0 0 4); 2θ 27.76, rel. 100, (1 0 2); 2θ 30.48, rel. 48, (1 0 3); 2θ 33.95, rel. 19, (1 0 4); 2θ 42.50, rel. 46, (1 0 6); 2θ 44.76, rel. 37, (1 1 0); 2θ 50.49, rel. 27, (1 1 4); 2θ 53.49, rel. 16, (2 0 2)

Structure:
```
CsTmS2
1.0
4.0494 0.0000 0.0000
-2.0247 3.5069 0.0000
0.0000 0.0000 16.0512
Cs Tm S
2 2 4
direct
0.3333 0.6667 0.2500 Cs
0.6667 0.3333 0.7500 Cs
0.0000 0.0000 0.0000 Tm
0.0000 0.0000 0.5000 Tm
0.3333 0.6667 0.5898 S
0.3333 0.6667 0.9102 S
0.6667 0.3333 0.0898 S
0.6667 0.3333 0.4102 S
```

# Ba3SrNb2O9
Calculated X-ray powder pattern, Cu Kα. Input: the GGA-PBE geometry in the Materials Project.

Peak list (8 most intense, 15 to 90 degrees two-theta, low angle first)
2θ 28.78, rel. 100, (0 1 2); 2θ 29.53, rel. 97, (1 1 0); 2θ 41.71, rel. 61, (2 0 2); 2θ 50.52, rel. 17, (1 0 4); 2θ 51.93, rel. 37, (1 2 2); 2θ 52.39, rel. 19, (3 0 0); 2θ 61.29, rel. 19, (2 2 0); 2θ 69.10, rel. 17, (3 1 2)

Structure:
```
Ba3SrNb2O9
1.0
6.0494 0.0000 0.0000
-3.0247 5.2390 0.0000
0.0000 0.0000 7.6993
Ba Sr Nb O
3 1 2 9
direct
0.0000 0.0000 0.0000 Ba
0.3333 0.6667 0.7002 Ba
0.6667 0.3333 0.2998 Ba
0.0000 0.0000 0.5000 Sr
0.3333 0.6667 0.1684 Nb
0.6667 0.3333 0.8316 Nb
0.0000 0.5000 0.0000 O
0.1772 0.3543 0.3007 O
0.1772 0.8228 0.3007 O
0.3543 0.1772 0.6993 O
0.5000 0.0000 0.0000 O
0.5000 0.5000 0.0000 O
0.6457 0.8228 0.3007 O
0.8228 0.1772 0.6993 O
0.8228 0.6457 0.6993 O
```

# Lu2TiCuO6
Calculated X-ray powder pattern, Cu Kα. Input: the GGA-PBE geometry in the Materials Project.

Peak list (8 most intense, 15 to 90 degrees two-theta, low angle first)
2θ 15.69, rel. 40, (0 0 2); 2θ 29.16, rel. 50, (1 0 0); 2θ 30.24, rel. 21, (1 0 1); 2θ 31.68, rel. 28, (0 0 4); 2θ 33.28, rel. 100, (1 0 2); 2θ 43.60, rel. 33, (1 0 4); 2θ 51.71, rel. 37, (1 1 0); 2θ 61.92, rel. 24, (1 1 4)

Structure:
```
Lu2TiCuO6
1.0
3.5358 0.0000 0.0000
-1.7679 3.0620 0.0000
0.0000 0.0000 11.2978
Lu Ti Cu O
2 1 1 6
direct
0.0000 0.0000 0.2282 Lu
0.0000 0.0000 0.7718 Lu
0.6667 0.3333 0.5000 Ti
0.3333 0.6667 0.0000 Cu
0.0000 0.0000 0.0000 O
0.0000 0.0000 0.5000 O
0.3333 0.6667 0.1679 O
0.3333 0.6667 0.8321 O
0.6667 0.3333 0.3333 O
0.6667 0.3333 0.6667 O
```

# Mg2Sn
Calculated X-ray powder pattern, Cu Kα. Input: the GGA-PBE geometry in the Materials Project.

Peak list (8 most intense, 15 to 90 degrees two-theta, low angle first)
2θ 23.67, rel. 15, (0 0 4); 2θ 30.97, rel. 20, (1 0 0); 2θ 31.55, rel. 35, (1 0 1); 2θ 35.89, rel. 100, (0 0 6); 2θ 43.45, rel. 15, (1 0 5); 2θ 55.09, rel. 16, (1 1 0); 2θ 64.44, rel. 15, (1 0 9); 2θ 67.50, rel. 31, (1 1 6)

Structure:
```
Mg2Sn
1.0
3.3339 0.0000 0.0000
-1.6669 2.8872 0.0000
0.0000 0.0000 15.0336
Mg Sn
4 2
direct
0.3333 0.6667 0.0838 Mg
0.3333 0.6667 0.4162 Mg
0.6667 0.3333 0.5838 Mg
0.6667 0.3333 0.9162 Mg
0.3333 0.6667 0.7500 Sn
0.6667 0.3333 0.2500 Sn
```

# Te2Ir
Calculated X-ray powder pattern, Cu Kα. Input: the GGA-PBE geometry in the Materials Project.

Peak list (8 most intense, 15 to 90 degrees two-theta, low angle first)
2θ 16.06, rel. 100, (0 1 1); 2θ 30.13, rel. 95, (1 1 -1); 2θ 30.42, rel. 87, (1 -2 1); 2θ 31.45, rel. 96, (0 0 5); 2θ 41.57, rel. 67, (1 2 0); 2θ 45.01, rel. 29, (2 -1 0); 2θ 45.56, rel. 37, (1 1 -6); 2θ 46.76, rel. 26, (1 -2 6)

Structure:
```
Te2Ir
1.0
4.0301 0.0000 0.0000
-1.9776 6.5587 0.0000
-0.4419 -2.5821 14.2216
Te Ir
10 5
direct
0.0278 0.1647 0.1104 Te
0.1280 0.2633 0.4866 Te
0.2821 0.6901 0.0909 Te
0.2994 0.5298 0.7178 Te
0.4474 0.9485 0.3125 Te
0.5526 0.0515 0.6875 Te
0.7006 0.4702 0.2822 Te
0.7179 0.3099 0.9091 Te
0.8720 0.7367 0.5134 Te
0.9722 0.8353 0.8896 Te
0.0738 0.2076 0.2970 Ir
0.3529 0.5740 0.9084 Ir
0.5000 0.0000 0.5000 Ir
0.6471 0.4260 0.0916 Ir
0.9262 0.7924 0.7030 Ir
```